(1)
Structure and theoretical PXRD pattern of Ag2SbAu (the PBE geometry in Alexandria; Cu Kα X-rays).
Lines closer than 0.1° are merged.

Most intense lines, 10° ≤ 2θ ≤ 90°, sorted by position:
(2 2 0), 2θ 36.1, 2.486 Å, rel. 100.0
(0 4 0), 2θ 40.3, 2.239 Å, rel. 18.4
(2 0 -1), 2θ 42.3, 2.138 Å, rel. 16.1
(2 0 1), 2θ 43.3, 2.090 Å, rel. 15.0
(2 4 -1), 2θ 59.8, 1.546 Å, rel. 11.2
(2 4 1), 2θ 60.6, 1.528 Å, rel. 10.8
(2 6 0), 2θ 70.5, 1.335 Å, rel. 13.7
(2 2 -2), 2θ 73.2, 1.293 Å, rel. 6.2

Cell and atoms:
Unit cell a=5.972 b=8.955 c=2.995 alpha=90.00 beta=91.31 gamma=90.00
Space group C2/m (No. 12)
Inequivalent atoms, fractional coordinates:
Ag: 0.250 0.250 0.000 x4
Sb: 0.000 0.000 0.500 x2
Au: 0.000 0.500 0.500 x2

(2)
Structure and theoretical PXRD pattern of Dy4ErPb5 (the PBE geometry in Alexandria; Cu Kα X-rays).
Lines closer than 0.1° are merged.

Most intense lines, 10° ≤ 2θ ≤ 90°, sorted by position:
(1 2 1), 2θ 24.5, 3.628 Å, rel. 2.5
(3 1 0), 2θ 28.4, 3.142 Å, rel. 100.0
(3 1 2), 2θ 40.6, 2.222 Å, rel. 78.0
(2 4 2), 2θ 50.3, 1.814 Å, rel. 28.3
(6 2 0), 2θ 58.8, 1.571 Å, rel. 13.4
(6 2 2), 2θ 66.5, 1.405 Å, rel. 37.0
(5 5 2), 2θ 73.9, 1.283 Å, rel. 27.6
(6 2 4), 2θ 87.9, 1.111 Å, rel. 9.2

Cell and atoms:
Unit cell a=9.936 b=9.936 c=6.284 alpha=90.00 beta=90.00 gamma=90.00
Space group I4 (No. 79)
Inequivalent atoms, fractional coordinates:
Dy: 0.099 0.699 0.000 x8
Er: 0.000 0.000 0.504 x2
Pb: 0.000 0.000 0.004 x2
Pb: 0.100 0.702 0.500 x8

(3)
Structure and theoretical PXRD pattern of BePdCBr (the PBE geometry in Alexandria; Cu Kα X-rays).
Lines closer than 0.1° are merged.

Most intense lines, 10° ≤ 2θ ≤ 90°, sorted by position:
(0 0 1), 2θ 15.4, 5.763 Å, rel. 21.1
(0 1 -1), 2θ 26.2, 3.401 Å, rel. 100.0
(1 0 0), 2θ 26.7, 3.342 Å, rel. 86.9
(0 0 2), 2θ 31.0, 2.881 Å, rel. 47.0
(1 0 -2), 2θ 35.7, 2.512 Å, rel. 39.5
(1 -1 1), 2θ 38.9, 2.318 Å, rel. 25.7
(1 1 0), 2θ 39.4, 2.285 Å, rel. 21.2
(0 1 -3), 2θ 46.9, 1.937 Å, rel. 19.6

Cell and atoms:
Unit cell a=3.451 b=3.560 c=6.207 alpha=106.58 beta=103.50 gamma=90.88
Space group P1 (No. 1)
Inequivalent atoms, fractional coordinates:
Be: 0.000 0.000 0.000 x1
Pd: 0.295 0.395 0.786 x1
C: 0.481 0.963 0.917 x1
Br: 0.349 0.157 0.358 x1

(4)
Structure and theoretical PXRD pattern of Mg5Si9 (the PBE geometry in Alexandria; Cu Kα X-rays).
Lines closer than 0.1° are merged.

Most intense lines, 10° ≤ 2θ ≤ 90°, sorted by position:
(-2 2 2), 2θ 31.5, 2.837 Å, rel. 48.5
(1 2 -1), 2θ 35.4, 2.533 Å, rel. 52.3
(0 2 -3), 2θ 35.6, 2.521 Å, rel. 55.1
(2 1 0), 2θ 36.4, 2.470 Å, rel. 65.9
(-3 2 1), 2θ 36.8, 2.443 Å, rel. 84.6
(-1 1 4), 2θ 37.2, 2.416 Å, rel. 63.2
(1 1 3), 2θ 39.5, 2.282 Å, rel. 69.1
(2 -1 3), 2θ 39.6, 2.278 Å, rel. 100.0

Cell and atoms:
Unit cell a=7.529 b=7.557 c=10.292 alpha=91.45 beta=100.81 gamma=118.11
Space group P1 (No. 1)
Inequivalent atoms, fractional coordinates:
Mg: 0.000 0.000 0.000 x1
Mg: 0.010 0.832 0.548 x1
Mg: 0.033 0.673 0.848 x1
Mg: 0.140 0.700 0.181 x1
Mg: 0.341 0.323 0.230 x1
Mg: 0.537 0.726 0.420 x1
Mg: 0.564 0.741 0.129 x1
Mg: 0.701 0.794 0.710 x1
Mg: 0.742 0.379 0.565 x1
Mg: 0.859 0.227 0.161 x1
Si: 0.049 0.200 0.671 x1
Si: 0.115 0.476 0.399 x1
Si: 0.150 0.430 0.998 x1
Si: 0.181 0.587 0.638 x1
Si: 0.304 0.112 0.788 x1
Si: 0.333 0.069 0.429 x1
Si: 0.362 0.380 0.539 x1
Si: 0.385 0.593 0.853 x1
Si: 0.410 0.084 0.037 x1
Si: 0.431 0.961 0.640 x1
Si: 0.542 0.035 0.291 x1
Si: 0.595 0.958 0.924 x1
Si: 0.605 0.446 0.824 x1
Si: 0.679 0.442 0.065 x1
Si: 0.771 0.581 0.302 x1
Si: 0.829 0.224 0.813 x1
Si: 0.888 0.132 0.431 x1
Si: 0.986 0.947 0.285 x1

(5)
Structure and theoretical PXRD pattern of Al2NiI (the PBE geometry in Alexandria; Cu Kα X-rays).
Lines closer than 0.1° are merged.

Most intense lines, 10° ≤ 2θ ≤ 90°, sorted by position:
(1 1 2), 2θ 26.0, 3.425 Å, rel. 100.0
(0 0 4), 2θ 26.5, 3.365 Å, rel. 11.6
(2 0 0), 2θ 31.8, 2.814 Å, rel. 21.7
(2 0 4), 2θ 41.8, 2.159 Å, rel. 33.4
(1 1 6), 2θ 46.5, 1.954 Å, rel. 20.0
(3 1 2), 2θ 53.2, 1.720 Å, rel. 25.5
(2 2 4), 2θ 53.5, 1.713 Å, rel. 13.4
(3 1 6), 2θ 67.1, 1.394 Å, rel. 12.4

Cell and atoms:
Unit cell a=5.627 b=5.627 c=13.461 alpha=90.00 beta=90.00 gamma=90.00
Space group I-42d (No. 122)
Inequivalent atoms, fractional coordinates:
Al: 0.116 0.250 0.125 x8
Ni: 0.000 0.000 0.000 x4
I: 0.000 0.000 0.500 x4

(6)
Structure and theoretical PXRD pattern of Na4Nd2Br9 (the PBE geometry in Alexandria; Cu Kα X-rays).
Lines closer than 0.1° are merged.

Most intense lines, 10° ≤ 2θ ≤ 90°, sorted by position:
(1 1 0), 2θ 13.5, 6.563 Å, rel. 39.7
(1 1 2), 2θ 16.1, 5.493 Å, rel. 21.6
(1 1 -4), 2θ 22.3, 3.986 Å, rel. 14.3
(2 1 3), 2θ 27.0, 3.297 Å, rel. 100.0
(1 2 6), 2θ 35.8, 2.508 Å, rel. 62.4
(3 3 0), 2θ 41.3, 2.188 Å, rel. 47.0
(2 1 -9), 2θ 47.3, 1.922 Å, rel. 23.7
(2 4 -3), 2θ 50.0, 1.823 Å, rel. 17.0

Cell and atoms:
Unit cell a=7.575 b=7.578 c=20.071 alpha=89.92 beta=89.96 gamma=60.06
Space group P-1 (No. 2)
Inequivalent atoms, fractional coordinates:
Na: 0.165 0.167 0.174 x2
Na: 0.166 0.166 0.984 x2
Na: 0.167 0.166 0.483 x2
Na: 0.168 0.165 0.675 x2
Nd: 0.499 0.502 0.159 x2
Nd: 0.500 0.499 0.341 x2
Br: 0.152 0.526 0.414 x2
Br: 0.154 0.821 0.914 x2
Br: 0.177 0.477 0.086 x2
Br: 0.178 0.848 0.586 x2
Br: 0.184 0.500 0.750 x2
Br: 0.184 0.817 0.250 x2
Br: 0.474 0.180 0.586 x2
Br: 0.474 0.848 0.085 x2
Br: 0.498 0.185 0.250 x2

(7)
Structure and theoretical PXRD pattern of ErMgZn4 (the PBE geometry in Alexandria; Cu Kα X-rays).
Lines closer than 0.1° are merged.

Most intense lines, 10° ≤ 2θ ≤ 90°, sorted by position:
(0 1 1), 2θ 17.6, 5.032 Å, rel. 56.0
(1 1 0), 2θ 24.1, 3.694 Å, rel. 26.1
(1 1 2), 2θ 34.2, 2.619 Å, rel. 59.1
(1 2 1), 2θ 35.4, 2.536 Å, rel. 100.0
(0 2 2), 2θ 35.7, 2.516 Å, rel. 40.6
(2 0 0), 2θ 41.1, 2.195 Å, rel. 40.9
(0 3 1), 2θ 41.4, 2.179 Å, rel. 29.8
(1 0 3), 2θ 41.9, 2.157 Å, rel. 59.3

Cell and atoms:
Unit cell a=4.390 b=6.839 c=7.430 alpha=90.00 beta=90.00 gamma=90.00
Space group Imm2 (No. 44)
Inequivalent atoms, fractional coordinates:
Er: 0.000 0.000 0.000 x2
Mg: 0.000 0.500 0.092 x2
Zn: 0.000 0.201 0.386 x4
Zn: 0.000 0.305 0.715 x4

(8)
Structure and theoretical PXRD pattern of Sc2TaRh3 (the PBE geometry in Alexandria; Cu Kα X-rays).
Lines closer than 0.1° are merged.

Most intense lines, 10° ≤ 2θ ≤ 90°, sorted by position:
(0 2 0), 2θ 12.6, 7.004 Å, rel. 24.8
(1 1 0), 2θ 20.2, 4.401 Å, rel. 16.4
(0 6 0), 2θ 38.6, 2.335 Å, rel. 27.5
(2 0 0), 2θ 38.9, 2.318 Å, rel. 31.8
(1 3 1), 2θ 40.1, 2.250 Å, rel. 100.0
(2 6 0), 2θ 55.9, 1.645 Å, rel. 18.2
(1 9 1), 2θ 70.8, 1.331 Å, rel. 17.2
(3 3 1), 2θ 71.2, 1.325 Å, rel. 17.6

Cell and atoms:
Unit cell a=4.636 b=14.009 c=3.084 alpha=90.00 beta=90.00 gamma=90.00
Space group Cmmm (No. 65)
Inequivalent atoms, fractional coordinates:
Sc: 0.000 0.168 0.000 x4
Ta: 0.000 0.500 0.000 x2
Rh: 0.000 0.000 0.500 x2
Rh: 0.000 0.340 0.500 x4

(9)
Structure and theoretical PXRD pattern of Er3Tm3Pd2 (the PBE geometry in Alexandria; Cu Kα X-rays).
Lines closer than 0.1° are merged.

Most intense lines, 10° ≤ 2θ ≤ 90°, sorted by position:
(0 4 1), 2θ 27.9, 3.202 Å, rel. 51.6
(0 0 6), 2θ 29.9, 2.990 Å, rel. 47.1
(1 3 0), 2θ 31.7, 2.825 Å, rel. 92.4
(1 1 4), 2θ 32.0, 2.797 Å, rel. 54.9
(1 3 3), 2θ 35.1, 2.554 Å, rel. 100.0
(1 1 5), 2θ 35.4, 2.534 Å, rel. 87.6
(0 4 5), 2θ 37.3, 2.411 Å, rel. 77.3
(2 0 0), 2θ 49.0, 1.861 Å, rel. 36.8

Cell and atoms:
Unit cell a=3.721 b=13.018 c=17.943 alpha=90.00 beta=90.00 gamma=90.00
Space group Cmcm (No. 63)
Inequivalent atoms, fractional coordinates:
Er: 0.000 0.052 0.090 x8
Er: 0.000 0.304 0.250 x4
Tm: 0.000 0.334 0.052 x8
Tm: 0.000 0.428 0.750 x4
Pd: 0.000 0.282 0.635 x8